The following is a theoretical X-ray diffraction stick pattern of Ba2SrPm3O8. It was derived from the GGA-PBE geometry in Alexandria, using Cu Kα (weighted mean of Kα1 and Kα2).
Kinematic intensities with the Lorentz-polarization factor, no thermal factor.

The 8 most intense peaks (2θ = 10–90°), in order of rising 2θ:
index	d [Å]	two_theta	I_rel
0 1 5	3.192	27.95	55
1 1 3	3.133	28.49	100
0 2 1	3.105	28.75	56
2 0 2	2.982	29.97	48
0 2 4	2.604	34.44	38
1 2 5	2.003	45.28	34
2 0 8	1.865	48.83	47
2 2 0	1.818	50.17	46

Crystal structure
```
data_Ba2SrPm3O8
_space_group_name_H-M_alt 'R 3 m'
_space_group_IT_number 160
_space_group_name_Hall 'R 3 -2"'
_cell_length_a 7.2737
_cell_length_b 7.2737
_cell_length_c 18.5145
_cell_angle_alpha 90.00
_cell_angle_beta 90.00
_cell_angle_gamma 120.00
loop_
_atom_site_label
_atom_site_type_symbol
_atom_site_fract_x
_atom_site_fract_y
_atom_site_fract_z
Ba1 Ba 0.0000 0.0000 0.0000
Ba2 Ba 0.0000 0.0000 0.3761
Sr1 Sr 0.0000 0.0000 0.6208
Pm1 Pm 0.0001 0.5000 0.5004
O1 O 0.0000 0.0000 0.2316
O2 O 0.0000 0.0000 0.7654
O3 O 0.0358 0.5179 0.7657
O4 O 0.1790 0.3581 0.5699
```


The following is a theoretical X-ray diffraction stick pattern of Ba4PrO5. It was derived from the GGA-PBE geometry in Alexandria, using Cu Kα (weighted mean of Kα1 and Kα2).
Kinematic intensities with the Lorentz-polarization factor, no thermal factor.

The 8 most intense peaks (2θ = 10–90°), in order of rising 2θ:
index	d [Å]	two_theta	I_rel
2 1 1	3.181	28.05	100
0 0 2	2.769	32.34	28
1 3 0	2.748	32.58	55
1 3 2	1.950	46.56	39
4 2 0	1.943	46.75	19
2 1 3	1.667	55.08	16
5 0 1	1.658	55.40	32
4 2 2	1.591	57.98	19

Crystal structure
```
data_Ba4PrO5
_space_group_name_H-M_alt 'I 4'
_space_group_IT_number 79
_cell_length_a 8.6906
_cell_length_b 8.6906
_cell_length_c 5.5370
_cell_angle_alpha 90.00
_cell_angle_beta 90.00
_cell_angle_gamma 90.00
loop_
_space_group_symop_operation_xyz
'x,y,z'
'-y,x,z'
'-x,-y,z'
'y,-x,z'
'x+1/2,y+1/2,z+1/2'
'-y+1/2,x+1/2,z+1/2'
'-x+1/2,-y+1/2,z+1/2'
'y+1/2,-x+1/2,z+1/2'
loop_
_atom_site_label
_atom_site_type_symbol
_atom_site_fract_x
_atom_site_fract_y
_atom_site_fract_z
Ba1 Ba 0.1024 0.3003 0.0000
Pr1 Pr 0.0000 0.0000 0.4766
O1 O 0.0000 0.0000 0.0475
O2 O 0.0913 0.2696 0.4998
```


The following is a theoretical X-ray diffraction stick pattern of BaPrPuO4. It was derived from the GGA-PBE geometry in Alexandria, using Cu Kα (weighted mean of Kα1 and Kα2).
Kinematic intensities with the Lorentz-polarization factor, no thermal factor.

The 8 most intense peaks (2θ = 10–90°), in order of rising 2θ:
index	d [Å]	two_theta	I_rel
0 0 2	6.917	12.80	18
1 0 3	3.124	28.57	100
1 1 0	3.003	29.75	55
1 0 5	2.318	38.85	13
2 0 0	2.124	42.57	26
1 1 6	1.829	49.86	25
2 1 3	1.756	52.07	40
2 0 6	1.562	59.15	15

Crystal structure
```
data_BaPrPuO4
_space_group_name_H-M_alt 'I 4 m m'
_space_group_IT_number 107
_space_group_name_Hall 'I 4 -2'
_cell_length_a 4.2474
_cell_length_b 4.2474
_cell_length_c 13.8337
_cell_angle_alpha 90.00
_cell_angle_beta 90.00
_cell_angle_gamma 90.00
loop_
_atom_site_label
_atom_site_type_symbol
_atom_site_fract_x
_atom_site_fract_y
_atom_site_fract_z
Ba1 Ba 0.0000 0.0000 0.0000
Pr1 Pr 0.0000 0.0000 0.6968
Pu1 Pu 0.0000 0.0000 0.3427
O1 O 0.0000 0.0000 0.1702
O2 O 0.0000 0.0000 0.5267
O3 O 0.0000 0.5000 0.3031
```


The following is a theoretical X-ray diffraction stick pattern of BaPrRe2O8. It was derived from the GGA-PBE geometry in Alexandria, using Cu Kα (weighted mean of Kα1 and Kα2).
Kinematic intensities with the Lorentz-polarization factor, no thermal factor.

The 8 most intense peaks (2θ = 10–90°), in order of rising 2θ:
index	d [Å]	two_theta	I_rel
0 1 1	4.338	20.47	100
1 0 2	3.118	28.63	66
1 1 0	3.020	29.58	70
0 1 3	2.321	38.81	14
0 2 2	2.169	41.63	33
1 2 1	1.916	47.46	22
2 1 2	1.762	51.90	26
1 1 4	1.633	56.33	15

Crystal structure
```
data_BaPrRe2O8
_space_group_name_H-M_alt 'P -3 m 1'
_space_group_IT_number 164
_space_group_name_Hall '-P 3 2"'
_cell_length_a 6.0393
_cell_length_b 6.0393
_cell_length_c 7.7680
_cell_angle_alpha 90.00
_cell_angle_beta 90.00
_cell_angle_gamma 120.00
loop_
_atom_site_label
_atom_site_type_symbol
_atom_site_fract_x
_atom_site_fract_y
_atom_site_fract_z
Ba1 Ba 0.0000 0.0000 0.0000
Pr1 Pr 0.0000 0.0000 0.5000
Re1 Re 0.3333 0.6667 0.7853
O1 O 0.1671 0.3342 0.7082
O2 O 0.3333 0.6667 0.0164
```


The following is a theoretical X-ray diffraction stick pattern of Ba2PrSbO6. It was derived from the GGA-PBE geometry in Alexandria, using Cu Kα (weighted mean of Kα1 and Kα2).
Kinematic intensities with the Lorentz-polarization factor, no thermal factor.

The 8 most intense peaks (2θ = 10–90°), in order of rising 2θ:
index	d [Å]	two_theta	I_rel
1 1 0	3.083	28.96	100
1 0 4	3.065	29.14	100
0 2 4	2.174	41.55	57
3 0 0	1.780	51.33	22
2 1 4	1.777	51.44	42
0 1 8	1.766	51.76	20
3 -2 8	1.372	68.36	18
5 -2 4	1.165	82.88	23

Crystal structure
```
data_Ba2PrSbO6
_space_group_name_H-M_alt 'R -3'
_space_group_IT_number 148
_space_group_name_Hall '-R 3'
_cell_length_a 6.1664
_cell_length_b 6.1664
_cell_length_c 14.9712
_cell_angle_alpha 90.00
_cell_angle_beta 90.00
_cell_angle_gamma 120.00
loop_
_atom_site_label
_atom_site_type_symbol
_atom_site_fract_x
_atom_site_fract_y
_atom_site_fract_z
Ba1 Ba 0.0000 0.0000 0.2487
Pr1 Pr 0.0000 0.0000 0.5000
Sb1 Sb 0.0000 0.0000 0.0000
O1 O 0.0274 0.5577 0.7445
```


The following is a theoretical X-ray diffraction stick pattern of BaSrPrSbO6. It was derived from the GGA-PBE geometry in Alexandria, using Cu Kα (weighted mean of Kα1 and Kα2).
Kinematic intensities with the Lorentz-polarization factor, no thermal factor.

The 8 most intense peaks (2θ = 10–90°), in order of rising 2θ:
index	d [Å]	two_theta	I_rel
1 1 2	3.054	29.25	65
-1 1 2	3.039	29.39	100
1 1 -2	3.027	29.51	32
0 0 4	2.151	42.01	54
2 0 4	1.761	51.92	29
3 -1 2	1.757	52.06	13
0 2 -4	1.753	52.18	14
-3 1 2	1.748	52.33	22

Crystal structure
```
data_BaSrPrSbO6
_space_group_name_H-M_alt 'P -1'
_space_group_IT_number 2
_cell_length_a 6.0726
_cell_length_b 6.0978
_cell_length_c 8.5986
_cell_angle_alpha 89.66
_cell_angle_beta 89.50
_cell_angle_gamma 89.90
loop_
_space_group_symop_operation_xyz
'x,y,z'
'-x,-y,-z'
loop_
_atom_site_label
_atom_site_type_symbol
_atom_site_fract_x
_atom_site_fract_y
_atom_site_fract_z
Ba1 Ba 0.0061 0.0217 0.2505
Sr1 Sr 0.4922 0.5304 0.2479
Pr1 Pr 0.0000 0.5000 0.0000
Pr2 Pr 0.5000 0.0000 0.5000
Sb1 Sb 0.0000 0.5000 0.5000
Sb2 Sb 0.5000 0.0000 0.0000
O1 O 0.0825 0.4979 0.7290
O2 O 0.2037 0.7574 0.4656
O3 O 0.2383 0.7995 0.0264
O4 O 0.2586 0.2990 0.4523
O5 O 0.3090 0.2677 0.0457
O6 O 0.4397 0.0393 0.7704
```


The following is a theoretical X-ray diffraction stick pattern of Ba3PrSn2O9. It was derived from the GGA-PBE geometry in Alexandria, using Cu Kα (weighted mean of Kα1 and Kα2).
Kinematic intensities with the Lorentz-polarization factor, no thermal factor.

The 8 most intense peaks (2θ = 10–90°), in order of rising 2θ:
index	d [Å]	two_theta	I_rel
0 1 2	3.087	28.93	100
1 1 0	3.057	29.21	98
2 0 2	2.172	41.57	60
1 0 4	1.788	51.09	20
1 2 2	1.771	51.62	41
3 0 0	1.765	51.79	20
0 2 4	1.543	59.93	18
2 2 0	1.529	60.57	19

Crystal structure
```
data_Ba3PrSn2O9
_space_group_name_H-M_alt 'P -3 m 1'
_space_group_IT_number 164
_space_group_name_Hall '-P 3 2"'
_cell_length_a 6.1149
_cell_length_b 6.1149
_cell_length_c 7.5975
_cell_angle_alpha 90.00
_cell_angle_beta 90.00
_cell_angle_gamma 120.00
loop_
_atom_site_label
_atom_site_type_symbol
_atom_site_fract_x
_atom_site_fract_y
_atom_site_fract_z
Ba1 Ba 0.0000 0.0000 0.0000
Ba2 Ba 0.3333 0.6667 0.6810
Pr1 Pr 0.0000 0.0000 0.5000
Sn1 Sn 0.3333 0.6667 0.1601
O1 O 0.0000 0.5000 0.0000
O2 O 0.1743 0.3485 0.3134
```


The following is a theoretical X-ray diffraction stick pattern of Ba2PrTc3O12. It was derived from the GGA-PBE geometry in Alexandria, using Cu Kα (weighted mean of Kα1 and Kα2).
Kinematic intensities with the Lorentz-polarization factor, no thermal factor.

The 8 most intense peaks (2θ = 10–90°), in order of rising 2θ:
index	d [Å]	two_theta	I_rel
1 1 0	3.728	23.87	39
0 2 1	3.166	28.18	63
1 1 3	3.068	29.10	100
2 0 2	2.999	29.79	68
0 1 5	2.897	30.87	59
0 3 3	1.999	45.36	34
1 2 5	1.950	46.58	37
2 2 0	1.864	48.86	56

Crystal structure
```
data_Ba2PrTc3O12
_space_group_name_H-M_alt 'R -3 m'
_space_group_IT_number 166
_space_group_name_Hall '-R 3 2"'
_cell_length_a 7.4560
_cell_length_b 7.4560
_cell_length_c 16.2062
_cell_angle_alpha 90.00
_cell_angle_beta 90.00
_cell_angle_gamma 120.00
loop_
_atom_site_label
_atom_site_type_symbol
_atom_site_fract_x
_atom_site_fract_y
_atom_site_fract_z
Ba1 Ba 0.0000 0.0000 0.1111
Pr1 Pr 0.0000 0.0000 0.5000
Tc1 Tc 0.0000 0.5000 0.0000
O1 O 0.0382 0.5191 0.8856
O2 O 0.0806 0.5403 0.3164
```


The following is a theoretical X-ray diffraction stick pattern of BaPr2Ti3O10. It was derived from the GGA-PBE geometry in Alexandria, using Cu Kα (weighted mean of Kα1 and Kα2).
Kinematic intensities with the Lorentz-polarization factor, no thermal factor.

The 8 most intense peaks (2θ = 10–90°), in order of rising 2θ:
index	d [Å]	two_theta	I_rel
0 6 0	4.762	18.63	35
0 6 2	2.995	29.83	100
1 7 0	2.833	31.58	45
1 1 2	2.741	32.67	55
1 7 2	2.283	39.47	31
2 0 0	1.967	46.14	26
1 13 2	1.718	53.33	29
2 6 2	1.645	55.91	28

Crystal structure
```
data_BaPr2Ti3O10
_space_group_name_H-M_alt 'C m c m'
_space_group_IT_number 63
_space_group_name_Hall '-C 2c 2'
_cell_length_a 3.9348
_cell_length_b 28.5712
_cell_length_c 7.7117
_cell_angle_alpha 90.00
_cell_angle_beta 90.00
_cell_angle_gamma 90.00
loop_
_atom_site_label
_atom_site_type_symbol
_atom_site_fract_x
_atom_site_fract_y
_atom_site_fract_z
Ba1 Ba 0.0000 0.2425 0.2500
Pr1 Pr 0.0000 0.0728 0.2500
Pr2 Pr 0.0000 0.0801 0.7500
Ti1 Ti 0.0000 0.3538 0.5049
Ti2 Ti 0.0000 0.5000 0.0000
O1 O 0.0000 0.0000 0.0000
O2 O 0.0000 0.1312 0.0071
O3 O 0.0000 0.2928 0.5460
O4 O 0.0000 0.3537 0.2500
O5 O 0.0000 0.3768 0.7500
O6 O 0.0000 0.4335 0.0510
O7 O 0.0000 0.4836 0.7500
```


The following is a theoretical X-ray diffraction stick pattern of BaPt3O4. It was derived from the GGA-PBE geometry in Alexandria, using Cu Kα (weighted mean of Kα1 and Kα2).
Kinematic intensities with the Lorentz-polarization factor, no thermal factor.

The 8 most intense peaks (2θ = 10–90°), in order of rising 2θ:
index	d [Å]	two_theta	I_rel
2 1 0	2.710	33.06	100
2 1 1	2.474	36.32	55
2 2 2	1.749	52.30	16
3 2 0	1.681	54.61	25
3 2 1	1.619	56.85	31
4 0 0	1.515	61.18	17
4 2 1	1.322	71.33	22
5 2 0	1.125	86.49	21

Crystal structure
```
data_BaPt3O4
_space_group_name_H-M_alt 'P m -3 n'
_space_group_IT_number 223
_space_group_name_Hall '-P 4n 2 3'
_cell_length_a 6.0595
_cell_length_b 6.0595
_cell_length_c 6.0595
_cell_angle_alpha 90.00
_cell_angle_beta 90.00
_cell_angle_gamma 90.00
loop_
_atom_site_label
_atom_site_type_symbol
_atom_site_fract_x
_atom_site_fract_y
_atom_site_fract_z
Ba1 Ba 0.0000 0.0000 0.0000
Pt1 Pt 0.0000 0.2500 0.5000
O1 O 0.2500 0.2500 0.2500
```


The following is a theoretical X-ray diffraction stick pattern of Ba5Pt2O9. It was derived from the GGA-PBE geometry in Alexandria, using Cu Kα (weighted mean of Kα1 and Kα2).
Kinematic intensities with the Lorentz-polarization factor, no thermal factor.

The 8 most intense peaks (2θ = 10–90°), in order of rising 2θ:
index	d [Å]	two_theta	I_rel
1 1 0	5.170	17.15	36
1 1 2	3.400	26.21	50
3 0 0	2.985	29.93	100
2 0 3	2.497	35.96	22
1 2 3	2.249	40.10	29
2 2 2	2.243	40.20	27
3 3 0	1.723	53.14	17
2 3 3	1.697	54.05	18

Crystal structure
```
data_Ba5Pt2O9
_space_group_name_H-M_alt 'P 3 2 1'
_space_group_IT_number 150
_cell_length_a 10.3407
_cell_length_b 10.3407
_cell_length_c 9.0264
_cell_angle_alpha 90.00
_cell_angle_beta 90.00
_cell_angle_gamma 120.00
loop_
_space_group_symop_operation_xyz
'x,y,z'
'-y,x-y,z'
'-x+y,-x,z'
'y,x,-z'
'x-y,-y,-z'
'-x,-x+y,-z'
loop_
_atom_site_label
_atom_site_type_symbol
_atom_site_fract_x
_atom_site_fract_y
_atom_site_fract_z
Ba1 Ba 0.0000 0.0000 0.0000
Ba2 Ba 0.0000 0.3284 0.5000
Ba3 Ba 0.0000 0.3664 0.0000
Ba4 Ba 0.0323 0.6972 0.2638
Ba5 Ba 0.3333 0.6667 0.7527
Pt1 Pt 0.0000 0.0000 0.3453
Pt2 Pt 0.3333 0.6667 0.0993
Pt3 Pt 0.3333 0.6667 0.4087
O1 O 0.0000 0.8518 0.5000
O2 O 0.0058 0.1739 0.7791
O3 O 0.1720 0.5227 0.2539
O4 O 0.1753 0.6857 0.9739
O5 O 0.1770 0.6844 0.5335
```